Computed XRD peak list
Compound: PrNiSnAsPd
Radiation: Cu Kα X-rays
Structure: a GGA-PBE-relaxed structure
Intensities are scaled so that the largest is 100.

Most intense lines, 10 to 90 degrees two-theta, low angle first:
| 2θ/deg | d_spacing | Rel. int. | hkl |
| --- | --- | --- | --- |
| 27.85 | 3.204 | 39 | 1 1 0 |
| 33.27 | 2.693 | 64 | 1 1 2 |
| 33.49 | 2.676 | 100 | 1 0 3 |
| 39.79 | 2.265 | 77 | 2 0 0 |
| 46.21 | 1.964 | 19 | 1 1 4 |
| 50.08 | 1.822 | 20 | 1 0 5 |
| 52.96 | 1.729 | 55 | 2 1 3 |
| 57.54 | 1.602 | 26 | 2 2 0 |
| 63.15 | 1.472 | 18 | 1 1 6 |
| 65.79 | 1.420 | 17 | 2 1 5 |

Lattice parameters (Å, degrees): 4.5306 4.5306 9.9469 90.00 90.00 90.00
Space group P4/nmm (No. 129, origin choice 2)
Inequivalent atoms, fractional coordinates:
Pr1 0.2500 0.2500 0.2458 [2 per cell]
Ni1 0.2500 0.7500 0.5000 [2 per cell]
Sn1 0.2500 0.2500 0.6191 [2 per cell]
As1 0.2500 0.7500 0.0000 [2 per cell]
Pd1 0.2500 0.2500 0.8862 [2 per cell]